# K3Tl2Sb3
Calculated powder XRD pattern, Cu Ka. Input: the GGA-PBE geometry in Alexandria.

Peak list (6 most intense, 10° ≤ 2θ ≤ 80°, most intense first)
- d 2.822, 2θ = 31.70°, I 100.0
- d 3.151, 2θ = 28.32°, I 86.8
- d 6.015, 2θ = 14.73°, I 85.3
- d 4.694, 2θ = 18.90°, I 63.9
- d 2.697, 2θ = 33.22°, I 50.5
- d 2.527, 2θ = 35.53°, I 50.3

Atomic structure:
Lattice parameters (Å, degrees): 8.535 16.912 8.479 90.00 90.00 90.00
Space group Pnma (No. 62)
Unique sites:
K 0.008 0.109 0.195 x8
K 0.189 0.250 0.604 x4
Tl 0.135 0.597 0.377 x8
Sb 0.202 0.050 0.583 x8
Sb 0.219 0.750 0.536 x4